Calculated powder X-ray diffraction pattern of FeH12S2O14 for Cu Kα X-rays, from the PBE+U geometry in Alexandria.
No peak broadening, texture or thermal motion is included.

Structural model:
Unit cell a=6.2240 b=12.6130 c=9.0339 alpha=90.00 beta=107.23 gamma=90.00
Space group P2_1/c (No. 14)
Unique sites:
Fe: 0.0000 0.0000 0.0000 [2 per cell]
H: 0.0256 0.1911 0.8714 [4 per cell]
H: 0.0340 0.6033 0.7637 [4 per cell]
H: 0.1044 0.1197 0.2587 [4 per cell]
H: 0.3206 0.6442 0.5259 [4 per cell]
H: 0.3256 0.5642 0.3877 [4 per cell]
H: 0.3406 0.0814 0.2286 [4 per cell]
S: 0.2426 0.6400 0.0929 [4 per cell]
O: 0.0386 0.6790 0.1307 [4 per cell]
O: 0.0400 0.1139 0.8500 [4 per cell]
O: 0.1745 0.0906 0.1810 [4 per cell]
O: 0.1797 0.5791 0.9460 [4 per cell]
O: 0.2866 0.5696 0.4880 [4 per cell]
O: 0.3785 0.5711 0.2209 [4 per cell]
O: 0.3844 0.7309 0.0726 [4 per cell]

The 10 most intense peaks (2θ = 10–80°), in order of rising 2θ:
hkl	2theta	I (rel.)
0 2 0	14.0	38
1 0 0	14.9	67
1 1 0	16.5	100
0 2 1	17.4	59
0 0 2	20.6	41
1 2 -1	20.9	59
1 0 -2	21.6	40
0 1 2	21.7	84
0 3 1	23.5	66
2 1 -1	29.6	36